(1)
# Ga2Te2I
Calculated powder diffractogram, Cu Kα X-rays. Input: a crystal structure in Alexandria, relaxed with PBE.
Kinematic intensities with the Lorentz-polarization factor, no thermal factor.

The 8 most intense peaks (15 to 90 degrees two-theta), sorted by position:
2θ 15.18, I 493
2θ 22.34, I 595
2θ 24.31, I 1000
2θ 24.44, I 995
2θ 26.03, I 877
2θ 36.64, I 802
2θ 41.28, I 466
2θ 41.59, I 426

Crystal structure
Lattice parameters (Å, degrees): 4.2492 8.2439 11.8657 90.44 99.88 104.81
Element x y z (fractional)
Ga  0.1490  0.0891  0.2119
Ga  0.1507  0.5877  0.7116
Ga  0.8493  0.4123  0.2884
Ga  0.8510  0.9109  0.7881
Te  0.3489  0.2954  0.4081
Te  0.3510  0.7946  0.9077
Te  0.6490  0.2054  0.0923
Te  0.6511  0.7046  0.5919
I  0.0026  0.2493  0.7501
I  0.9974  0.7507  0.2499

***

(2)
# Sm6Dy8Tl
Calculated powder diffractogram, Cu Kα X-rays. Input: a crystal structure in Alexandria, relaxed with PBE.
Kinematic intensities with the Lorentz-polarization factor, no thermal factor.

The 8 most intense peaks (15 to 90 degrees two-theta), sorted by position:
2θ 25.92, I 172
2θ 28.96, I 194
2θ 30.07, I 123
2θ 32.24, I 1000
2θ 33.93, I 219
2θ 40.69, I 143
2θ 51.33, I 192
2θ 61.93, I 123

Crystal structure
Lattice parameters (Å, degrees): 9.4188 9.4188 6.3832 90.00 90.00 120.00
Element x y z (fractional)
Sm  0.0918  0.4520  0.3184
Sm  0.3602  0.9082  0.3184
Sm  0.4520  0.3602  0.6816
Sm  0.5480  0.6398  0.3184
Sm  0.6398  0.0918  0.6816
Sm  0.9082  0.5480  0.6816
Dy  0.0392  0.2644  0.8135
Dy  0.2253  0.9608  0.8135
Dy  0.2644  0.2253  0.1865
Dy  0.3333  0.6667  0.8313
Dy  0.6667  0.3333  0.1687
Dy  0.7356  0.7747  0.8135
Dy  0.7747  0.0392  0.1865
Dy  0.9608  0.7356  0.1865
Tl  0.0000  0.0000  0.5000

***

(3)
# LiAgGe
Calculated powder diffractogram, Cu Kα X-rays. Input: a crystal structure in Alexandria, relaxed with PBE.
Kinematic intensities with the Lorentz-polarization factor, no thermal factor.

The 8 most intense peaks (15 to 90 degrees two-theta), sorted by position:
2θ 15.61, I 400
2θ 27.73, I 966
2θ 39.24, I 880
2θ 40.00, I 1000
2θ 43.19, I 182
2θ 49.37, I 188
2θ 57.24, I 188
2θ 72.12, I 182

Crystal structure
Lattice parameters (Å, degrees): 4.5069 4.5069 5.6770 90.12 90.12 60.04
Element x y z (fractional)
Li  0.1665  0.1665  0.3919
Li  0.8335  0.8335  0.6081
Ag  0.1669  0.1669  0.8723
Ag  0.8331  0.8331  0.1277
Ge  0.4997  0.4997  0.2687
Ge  0.5003  0.5003  0.7313